For CeTaCr2O8, a GGA+U-relaxed structure gives the theoretical powder XRD pattern in this record (Cu Kα).

The 12 most intense peaks (10° ≤ 2θ ≤ 90°), low angle first:
h k l  two_theta  I_rel
1 1 0  18.74  566
0 2 0  26.48  643
2 0 0  26.78  597
0 0 2  27.41  130
1 1 2  33.41  1000
2 2 0  38.02  261
2 0 2  38.69  247
1 3 0  42.51  149
2 2 2  47.50  126
1 3 2  51.33  432
3 1 2  51.66  391
3 3 2  65.77  244

Structural model:
```
data_CeTaCr2O8
_cell_length_a 6.659
_cell_length_b 6.732
_cell_length_c 6.509
_cell_angle_alpha 90.00
_cell_angle_beta 90.00
_cell_angle_gamma 90.00
_space_group_name_H-M_alt 'C m m m'
_space_group_IT_number 65
_space_group_name_Hall '-C 2 2'
loop_
_atom_site_label
_atom_site_fract_x
_atom_site_fract_y
_atom_site_fract_z
Ce1 0.000 0.000 0.000
Ta1 0.000 0.000 0.500
Cr1 0.000 0.500 0.258
O1 0.000 0.306 0.500
O2 0.000 0.324 0.000
O3 0.202 0.000 0.278
```